No. 1
For Ac2DyAuO6, DFT lattice parameters and positions (PBE) gives the calculated powder diffraction line list in this record (Cu Kα (weighted mean of Kα1 and Kα2)).

Structural model:
Unit cell a=5.5257 b=5.5257 c=5.8630 alpha=90.00 beta=90.00 gamma=90.00
Sites, in units of the cell vectors:
Ac1 0.0000 0.5000 0.0000
Ac2 0.5000 0.0000 0.0000
Dy1 0.0000 0.0000 0.5348
Au1 0.5000 0.5000 0.6664
O1 0.0000 0.0000 0.1620
O2 0.2452 0.2452 0.7150
O3 0.2452 0.7548 0.7150
O4 0.5000 0.5000 0.1271
O5 0.7548 0.2452 0.7150
O6 0.7548 0.7548 0.7150

Top 10 peaks for 2θ = 10–90°, by intensity:
2θ (°), Rel. int.
27.43, 100
32.40, 39
54.82, 31
46.48, 23
15.11, 20
38.39, 20
45.09, 19
67.84, 11
30.49, 10
61.81, 10

No. 2
For Cs2AcAl2O6, DFT lattice parameters and positions (PBE) gives the calculated powder diffraction line list in this record (Cu Kα (weighted mean of Kα1 and Kα2)).

Structural model:
Unit cell a=7.7181 b=7.7181 c=7.7181 alpha=48.90 beta=48.90 gamma=48.90
Sites, in units of the cell vectors:
Cs1 0.2055 0.2055 0.2055
Cs2 0.7945 0.7945 0.7945
Ac1 0.0000 0.0000 0.0000
Al1 0.4092 0.4092 0.4092
Al2 0.5908 0.5908 0.5908
O1 0.2546 0.2546 0.7186
O2 0.2546 0.7186 0.2546
O3 0.2814 0.7454 0.7454
O4 0.7186 0.2546 0.2546
O5 0.7454 0.2814 0.7454
O6 0.7454 0.7454 0.2814

Top 10 peaks for 2θ = 10–90°, by intensity:
2θ (°), Rel. int.
27.21, 100
27.93, 78
16.60, 57
48.98, 36
49.41, 34
39.39, 32
23.77, 31
36.99, 23
47.64, 21
64.95, 17

No. 3
For Ca6P19Rh30, DFT lattice parameters and positions (PBE) gives the calculated powder diffraction line list in this record (Cu Kα (weighted mean of Kα1 and Kα2)).

Structural model:
Unit cell a=15.6483 b=15.6483 c=3.8227 alpha=90.00 beta=90.00 gamma=120.00
Sites, in units of the cell vectors:
Ca1 0.0363 0.2731 0.0000
Ca2 0.2368 0.9637 0.0000
Ca3 0.4299 0.3696 0.4993
Ca4 0.6304 0.0603 0.4993
Ca5 0.7269 0.7632 0.0000
Ca6 0.9397 0.5701 0.4993
P1 0.0159 0.1181 0.4986
P2 0.0764 0.5499 0.9962
P3 0.1022 0.9841 0.4986
P4 0.1931 0.4098 0.5029
P5 0.2167 0.8069 0.5029
P6 0.2718 0.2342 0.9987
P7 0.3333 0.6667 0.2482
P8 0.3947 0.0992 0.5007
P9 0.4501 0.5264 0.9962
P10 0.4736 0.9236 0.9962
P11 0.5644 0.3491 0.0008
P12 0.5902 0.7833 0.5029
P13 0.6509 0.2153 0.0008
P14 0.7044 0.6053 0.5007
P15 0.7658 0.0377 0.9987
P16 0.7847 0.4356 0.0008
P17 0.8819 0.8978 0.4986
P18 0.9008 0.2956 0.5007
P19 0.9623 0.7282 0.9987
Rh1 0.0570 0.4378 0.5030
Rh2 0.0734 0.8222 0.4970
Rh3 0.1044 0.7139 0.9960
Rh4 0.1099 0.0951 0.9975
Rh5 0.1778 0.2512 0.4970
Rh6 0.1849 0.6439 0.4964
Rh7 0.2075 0.5181 0.0024
Rh8 0.2590 0.1275 0.4991
Rh9 0.2861 0.3905 0.9960
Rh10 0.3106 0.7925 0.0024
Rh11 0.3561 0.5410 0.4964
Rh12 0.3808 0.9430 0.5030
Rh13 0.4074 0.2056 0.0001
Rh14 0.4590 0.8151 0.4964
Rh15 0.4819 0.6894 0.0024
Rh16 0.4890 0.0824 0.0021
Rh17 0.5566 0.2385 0.5018
Rh18 0.5622 0.6192 0.5030
Rh19 0.5934 0.5110 0.0021
Rh20 0.6095 0.8956 0.9960
Rh21 0.6819 0.4434 0.5018
Rh22 0.7488 0.9266 0.4970
Rh23 0.7615 0.3181 0.5018
Rh24 0.7944 0.2018 0.0001
Rh25 0.7982 0.5926 0.0001
Rh26 0.8686 0.7410 0.4991
Rh27 0.8725 0.1314 0.4991
Rh28 0.9049 0.0148 0.9975
Rh29 0.9176 0.4066 0.0021
Rh30 0.9852 0.8901 0.9975

Top 10 peaks for 2θ = 10–90°, by intensity:
2θ (°), Rel. int.
37.28, 100
17.31, 20
47.57, 20
46.93, 19
50.87, 18
46.71, 17
29.15, 14
48.22, 13
28.71, 12
72.20, 12

Copy entry 1 word for word.
For Ac2DyAuO6, DFT lattice parameters and positions (PBE) gives the calculated powder diffraction line list in this record (Cu Kα (weighted mean of Kα1 and Kα2)).

Structural model:
Unit cell a=5.5257 b=5.5257 c=5.8630 alpha=90.00 beta=90.00 gamma=90.00
Sites, in units of the cell vectors:
Ac1 0.0000 0.5000 0.0000
Ac2 0.5000 0.0000 0.0000
Dy1 0.0000 0.0000 0.5348
Au1 0.5000 0.5000 0.6664
O1 0.0000 0.0000 0.1620
O2 0.2452 0.2452 0.7150
O3 0.2452 0.7548 0.7150
O4 0.5000 0.5000 0.1271
O5 0.7548 0.2452 0.7150
O6 0.7548 0.7548 0.7150

Top 10 peaks for 2θ = 10–90°, by intensity:
2θ (°), Rel. int.
27.43, 100
32.40, 39
54.82, 31
46.48, 23
15.11, 20
38.39, 20
45.09, 19
67.84, 11
30.49, 10
61.81, 10